# 1
# TlPbW4N2
Theoretical powder diffractogram, CuKα. Input: the PBE geometry in OQMD.

The 10 most intense peaks (2θ from 10° to 80°), in order of falling intensity:
| hkl | 2θ/deg | I_rel |
| --- | --- | --- |
| 1 0 3 | 37.2 | 100 |
| 1 0 0 | 30.8 | 26 |
| 1 1 0 | 54.8 | 24 |
| 1 1 6 | 70.8 | 18 |
| 2 0 3 | 68.1 | 17 |
| 0 0 6 | 41.1 | 14 |
| 1 0 6 | 52.3 | 12 |
| 1 0 9 | 72.3 | 11 |
| 1 0 7 | 58.5 | 4 |
| 2 0 6 | 79.2 | 4 |

Structural model:
```
data_TlPbW4N2
_symmetry_space_group_name_H-M 'P -6 m 2'
_symmetry_Int_Tables_number 187
_symmetry_space_group_name_Hall 'P -6 2'
_cell_length_a 3.3489
_cell_length_b 3.3489
_cell_length_c 13.1681
_cell_angle_alpha 90.00
_cell_angle_beta 90.00
_cell_angle_gamma 120.00
loop_
_atom_site_label
_atom_site_fract_x
_atom_site_fract_y
_atom_site_fract_z
Tl1 0.0000 0.0000 0.0000
Pb1 0.6667 0.3333 0.5000
W1 0.0000 0.0000 0.3179
W2 0.6667 0.3333 0.1774
N1 0.3333 0.6667 0.2489
```

# 2
# Na3SmB2O6
Theoretical powder diffractogram, CuKα. Input: the PBE geometry in OQMD.

The 10 most intense peaks (2θ from 10° to 80°), in order of falling intensity:
| hkl | 2θ/deg | I_rel |
| --- | --- | --- |
| 1 0 0 | 16.1 | 100 |
| 1 2 -1 | 24.6 | 72 |
| 0 2 1 | 22.3 | 69 |
| 1 1 -2 | 19.2 | 65 |
| 0 1 1 | 13.5 | 64 |
| 0 3 2 | 35.8 | 49 |
| 0 1 2 | 20.4 | 49 |
| 1 2 -5 | 43.9 | 42 |
| 2 3 -2 | 41.7 | 41 |
| 0 0 4 | 35.7 | 38 |

Structural model:
```
data_Na3SmB2O6
_symmetry_space_group_name_H-M 'P 1 21/c 1'
_symmetry_Int_Tables_number 14
_symmetry_space_group_name_Hall '-P 2ybc'
_cell_length_a 6.530
_cell_length_b 8.674
_cell_length_c 11.969
_cell_angle_alpha 90.00
_cell_angle_beta 122.70
_cell_angle_gamma 90.00
loop_
_atom_site_label
_atom_site_fract_x
_atom_site_fract_y
_atom_site_fract_z
Na1 0.077 0.185 0.102
Na2 0.079 0.057 0.386
Na3 0.334 0.732 0.846
Sm1 0.489 0.617 0.645
B1 0.082 0.102 0.862
B2 0.370 0.566 0.125
O1 0.116 0.605 0.627
O2 0.121 0.217 0.796
O3 0.251 0.519 0.414
O4 0.289 0.083 0.615
O5 0.321 0.652 0.016
O6 0.497 0.634 0.250
```

# 3
# Cu2Ag5
Theoretical powder diffractogram, CuKα. Input: the PBE geometry in OQMD.

The 10 most intense peaks (2θ from 10° to 80°), in order of falling intensity:
| hkl | 2θ/deg | I_rel |
| --- | --- | --- |
| 1 1 0 | 38.9 | 100 |
| 0 1 7 | 38.8 | 97 |
| 1 0 7 | 44.7 | 64 |
| 1 2 7 | 66.2 | 37 |
| 0 2 0 | 46.1 | 30 |
| 2 1 7 | 78.5 | 22 |
| 1 1 14 | 78.3 | 20 |
| 2 0 0 | 65.2 | 10 |
| 0 0 14 | 64.9 | 9 |
| 0 1 1 | 23.0 | 5 |

Structural model:
```
data_Cu2Ag5
_symmetry_space_group_name_H-M 'I m m m'
_symmetry_Int_Tables_number 71
_symmetry_space_group_name_Hall '-I 2 2'
_cell_length_a 2.861
_cell_length_b 3.935
_cell_length_c 20.124
_cell_angle_alpha 90.00
_cell_angle_beta 90.00
_cell_angle_gamma 90.00
loop_
_atom_site_label
_atom_site_fract_x
_atom_site_fract_y
_atom_site_fract_z
Cu1 0.000 0.000 0.067
Ag1 0.000 0.000 0.212
Ag2 0.000 0.000 0.363
Ag3 0.000 0.000 0.500
```

# 4
# Hf3Al3CoCuIr
Theoretical powder diffractogram, CuKα. Input: the PBE geometry in OQMD.

The 10 most intense peaks (2θ from 10° to 80°), in order of falling intensity:
| hkl | 2θ/deg | I_rel |
| --- | --- | --- |
| 1 1 1 | 36.8 | 100 |
| 2 0 1 | 39.7 | 76 |
| 1 0 0 | 14.5 | 44 |
| 1 1 0 | 25.2 | 40 |
| 1 2 0 | 38.9 | 34 |
| 3 0 0 | 44.4 | 33 |
| 3 1 1 | 61.0 | 26 |
| 1 3 0 | 54.0 | 25 |
| 2 3 1 | 72.9 | 23 |
| 2 1 1 | 47.6 | 23 |

Structural model:
```
data_Hf3Al3CoCuIr
_symmetry_space_group_name_H-M 'P -6'
_symmetry_Int_Tables_number 174
_symmetry_space_group_name_Hall 'P -6'
_cell_length_a 7.0753
_cell_length_b 7.0753
_cell_length_c 3.3775
_cell_angle_alpha 90.00
_cell_angle_beta 90.00
_cell_angle_gamma 120.00
loop_
_atom_site_label
_atom_site_fract_x
_atom_site_fract_y
_atom_site_fract_z
Hf1 0.0122 0.5994 0.0000
Al1 0.0007 0.2578 0.5000
Co1 0.3333 0.6667 0.5000
Cu1 0.0000 0.0000 0.0000
Ir1 0.6667 0.3333 0.5000
```

# 5
# RbZnP3O9
Theoretical powder diffractogram, CuKα. Input: the PBE geometry in OQMD.

The 10 most intense peaks (2θ from 10° to 80°), in order of falling intensity:
| hkl | 2θ/deg | I_rel |
| --- | --- | --- |
| 1 1 0 | 17.5 | 100 |
| 2 0 2 | 32.5 | 59 |
| 0 2 1 | 23.8 | 36 |
| 3 1 2 | 45.2 | 33 |
| 3 0 0 | 30.5 | 32 |
| 3 -2 2 | 37.1 | 27 |
| 2 2 0 | 35.4 | 20 |
| 5 2 0 | 66.4 | 14 |
| 1 0 1 | 16.1 | 14 |
| 0 2 4 | 56.0 | 13 |

Structural model:
```
data_RbZnP3O9
_symmetry_space_group_name_H-M 'R 3'
_symmetry_Int_Tables_number 146
_symmetry_space_group_name_Hall 'R 3'
_cell_length_a 10.1496
_cell_length_b 10.1496
_cell_length_c 7.0746
_cell_angle_alpha 90.00
_cell_angle_beta 90.00
_cell_angle_gamma 120.00
loop_
_atom_site_label
_atom_site_fract_x
_atom_site_fract_y
_atom_site_fract_z
Rb1 0.0000 0.0000 0.0000
Zn1 0.0000 0.0000 0.5047
P1 0.0089 0.4389 0.9755
O1 0.0182 0.3818 0.7658
O2 0.0722 0.8829 0.3306
O3 0.1880 0.0835 0.6820
```

# 6
# Dy4CBr2Cl3
Theoretical powder diffractogram, CuKα. Input: the PBE geometry in OQMD.

The 10 most intense peaks (2θ from 10° to 80°), in order of falling intensity:
| hkl | 2θ/deg | I_rel |
| --- | --- | --- |
| 0 0 1 | 11.6 | 100 |
| 1 1 -2 | 33.1 | 99 |
| 5 1 0 | 35.5 | 45 |
| 6 0 0 | 31.4 | 44 |
| 5 1 2 | 46.4 | 42 |
| 2 0 0 | 10.3 | 34 |
| 7 1 -2 | 46.2 | 24 |
| 8 0 0 | 42.3 | 21 |
| 6 0 -2 | 34.8 | 19 |
| 3 1 1 | 32.3 | 19 |

Structural model:
```
data_Dy4CBr2Cl3
_symmetry_space_group_name_H-M 'C 1 2/m 1'
_symmetry_Int_Tables_number 12
_symmetry_space_group_name_Hall '-C 2y'
_cell_length_a 17.561
_cell_length_b 3.745
_cell_length_c 7.812
_cell_angle_alpha 90.00
_cell_angle_beta 103.23
_cell_angle_gamma 90.00
loop_
_atom_site_label
_atom_site_fract_x
_atom_site_fract_y
_atom_site_fract_z
Dy1 0.000 0.000 0.211
Dy2 0.140 0.500 0.077
C1 0.000 0.500 0.000
Br1 0.171 0.000 0.819
Cl1 0.000 0.500 0.500
Cl2 0.160 0.000 0.336
```

# 7
# Dy3Ga8Ir3
Theoretical powder diffractogram, CuKα. Input: the PBE geometry in OQMD.

The 10 most intense peaks (2θ from 10° to 80°), in order of falling intensity:
| hkl | 2θ/deg | I_rel |
| --- | --- | --- |
| 1 2 3 | 35.6 | 100 |
| 2 0 0 | 42.9 | 28 |
| 0 0 2 | 14.3 | 25 |
| 0 1 1 | 11.5 | 20 |
| 0 0 6 | 44.0 | 17 |
| 1 2 5 | 46.5 | 17 |
| 1 3 2 | 37.8 | 17 |
| 1 2 1 | 28.9 | 17 |
| 1 3 4 | 45.8 | 14 |
| 0 3 3 | 35.1 | 13 |

Structural model:
```
data_Dy3Ga8Ir3
_symmetry_space_group_name_H-M 'I m m m'
_symmetry_Int_Tables_number 71
_symmetry_space_group_name_Hall '-I 2 2'
_cell_length_a 4.212
_cell_length_b 9.803
_cell_length_c 12.348
_cell_angle_alpha 90.00
_cell_angle_beta 90.00
_cell_angle_gamma 90.00
loop_
_atom_site_label
_atom_site_fract_x
_atom_site_fract_y
_atom_site_fract_z
Dy1 0.000 0.000 0.000
Dy2 0.000 0.000 0.329
Ga1 0.000 0.283 0.124
Ga2 0.000 0.371 0.331
Ir1 0.000 0.219 0.500
Ir2 0.000 0.500 0.000
```

# 8
# MoP4H36C12Cl2
Theoretical powder diffractogram, CuKα. Input: the PBE geometry in OQMD.

The 10 most intense peaks (2θ from 10° to 80°), in order of falling intensity:
| hkl | 2θ/deg | I_rel |
| --- | --- | --- |
| 1 0 1 | 11.8 | 100 |
| 1 1 0 | 13.2 | 27 |
| 0 0 2 | 14.6 | 19 |
| 2 2 0 | 26.5 | 19 |
| 3 2 1 | 34.8 | 18 |
| 2 1 1 | 22.1 | 12 |
| 3 1 0 | 29.7 | 12 |
| 2 1 5 | 43.0 | 11 |
| 1 1 4 | 32.4 | 10 |
| 3 2 5 | 51.2 | 9 |

Structural model:
```
data_MoP4H36C12Cl2
_symmetry_space_group_name_H-M 'I -4 2 m'
_symmetry_Int_Tables_number 121
_symmetry_space_group_name_Hall 'I -4 2'
_cell_length_a 9.511
_cell_length_b 9.511
_cell_length_c 12.113
_cell_angle_alpha 90.00
_cell_angle_beta 90.00
_cell_angle_gamma 90.00
loop_
_atom_site_label
_atom_site_fract_x
_atom_site_fract_y
_atom_site_fract_z
Mo1 0.000 0.000 0.000
P1 0.182 0.182 0.966
H1 0.052 0.399 0.927
H2 0.077 0.295 0.807
H3 0.100 0.281 0.360
H4 0.154 0.154 0.556
H5 0.179 0.311 0.634
C1 0.128 0.334 0.882
C2 0.231 0.231 0.583
Cl1 0.000 0.000 0.204
```